# LiMn3Fe2O8
Computed X-ray powder pattern, copper Kα. Input: a DFT-relaxed cell (GGA+U, Alexandria).
Lines closer than 0.1° are merged.

Cell and atoms:
```
LiMn3Fe2O8
1.0
3.0339 1.7516 4.8802
-3.0339 1.7516 4.8802
0.0000 -3.5032 4.8802
Li Mn Fe O
1 3 2 8
Direct
0.0000 0.0000 0.0000
0.1108 0.6276 0.6276
0.6276 0.1108 0.6276
0.6276 0.6276 0.1108
0.2406 0.2406 0.2406
0.6247 0.6247 0.6247
0.3659 0.3659 0.3659
0.3777 0.3777 0.8379
0.3777 0.8379 0.3777
0.4158 0.8601 0.8601
0.8379 0.3777 0.3777
0.8601 0.4158 0.8601
0.8601 0.8601 0.4158
0.8711 0.8711 0.8711
```

Top 10 peaks for 10 to 90 degrees two-theta, sorted by position:
4.946 Å, rel. 73
4.880 Å, rel. 28
4.269 Å, rel. 32
2.586 Å, rel. 45
2.577 Å, rel. 100
2.558 Å, rel. 39
2.134 Å, rel. 83
1.644 Å, rel. 30
1.517 Å, rel. 48
1.502 Å, rel. 46